Diffraction record for SrLaNbZnO6. The powder X-ray diffraction pattern is calculated, not measured: it uses a crystal structure in the Materials Project, relaxed with PBE and λ = 1.5418 Å (Cu Kα).

Most intense lines, 2θ = 5–70°, by angle:
d [Å]	intensity
4.671	6
2.861	100
2.439	3
2.336	7
2.023	33
1.856	1
1.652	39
1.557	1
1.430	20
1.368	1

Cell and atoms:
a b c (Å): 5.721 5.721 5.721
angles (deg): 60.00 60.00 60.00
Positions (direct):
Sr  0.000  0.000  0.000
La  0.500  0.500  0.500
Nb  0.750  0.750  0.750
Zn  0.250  0.250  0.250
O  0.504  0.504  0.996
O  0.504  0.996  0.504
O  0.504  0.996  0.996
O  0.996  0.504  0.504
O  0.996  0.504  0.996
O  0.996  0.996  0.504

***

Diffraction record for K3TlBr6. The powder X-ray diffraction pattern is calculated, not measured: it uses a crystal structure in the Materials Project, relaxed with PBE and λ = 1.5418 Å (Cu Kα).

Most intense lines, 2θ = 5–70°, by angle:
d [Å]	intensity
6.804	60
5.892	86
4.166	20
3.402	33
2.946	100
2.635	45
2.268	21
2.083	71
1.964	24
1.701	24

Cell and atoms:
a b c (Å): 8.333 8.333 8.333
angles (deg): 60.00 60.00 60.00
Positions (direct):
K  0.000  0.000  0.000
K  0.250  0.250  0.250
K  0.750  0.750  0.750
Tl  0.500  0.500  0.500
Br  0.265  0.265  0.735
Br  0.265  0.735  0.265
Br  0.265  0.735  0.735
Br  0.735  0.265  0.265
Br  0.735  0.265  0.735
Br  0.735  0.735  0.265

***

Diffraction record for HoCu2O4. The powder X-ray diffraction pattern is calculated, not measured: it uses a crystal structure in the Materials Project, relaxed with PBE and λ = 1.5418 Å (Cu Kα).

Most intense lines, 2θ = 5–70°, by angle:
d [Å]	intensity
3.080	59
2.837	15
2.791	51
2.453	100
2.443	22
1.821	22
1.681	28
1.629	17
1.553	21
1.540	29

Cell and atoms:
a b c (Å): 6.262 6.262 6.262
angles (deg): 126.12 126.12 79.69
Positions (direct):
Ho  0.375  0.125  0.250
Ho  0.625  0.875  0.750
Cu  0.000  0.000  0.500
Cu  0.000  0.500  0.000
Cu  0.000  0.500  0.500
Cu  0.500  0.500  0.000
O  0.029  0.134  0.308
O  0.221  0.529  0.395
O  0.326  0.721  0.192
O  0.366  0.174  0.895
O  0.634  0.826  0.105
O  0.674  0.279  0.808
O  0.779  0.471  0.605
O  0.971  0.866  0.692

***

Diffraction record for NaLaAu2. The powder X-ray diffraction pattern is calculated, not measured: it uses a crystal structure in the Materials Project, relaxed with PBE and λ = 1.5418 Å (Cu Kα).

Most intense lines, 2θ = 5–70°, by angle:
d [Å]	intensity
4.229	10
3.663	21
2.590	100
2.209	5
2.115	7
1.831	18
1.681	2
1.638	9
1.495	37
1.410	2

Cell and atoms:
a b c (Å): 5.180 5.180 5.180
angles (deg): 60.00 60.00 60.00
Positions (direct):
Na  0.000  0.000  0.000
La  0.500  0.500  0.500
Au  0.250  0.250  0.250
Au  0.750  0.750  0.750

***

Diffraction record for FeSeCl7. The powder X-ray diffraction pattern is calculated, not measured: it uses a crystal structure in the Materials Project, relaxed with PBE and λ = 1.5418 Å (Cu Kα).

Most intense lines, 2θ = 5–70°, by angle:
d [Å]	intensity
5.242	75
5.019	100
4.890	61
4.681	48
3.271	55
3.155	48
2.758	46
2.713	45
2.685	54
1.928	54

Cell and atoms:
a b c (Å): 6.612 8.530 10.361
angles (deg): 85.56 76.00 83.86
Positions (direct):
Fe  0.000  0.000  0.000
Fe  0.258  0.440  0.423
Se  0.466  0.379  0.957
Se  0.690  0.822  0.416
Cl  0.039  0.642  0.509
Cl  0.195  0.488  0.887
Cl  0.199  0.374  0.233
Cl  0.209  0.240  0.566
Cl  0.329  0.065  0.952
Cl  0.446  0.921  0.316
Cl  0.498  0.809  0.620
Cl  0.584  0.597  0.996
Cl  0.587  0.503  0.388
Cl  0.678  0.340  0.763
Cl  0.784  0.206  0.079
Cl  0.826  0.040  0.434
Cl  0.931  0.914  0.826
Cl  0.977  0.802  0.156

***

Diffraction record for CaZnPb. The powder X-ray diffraction pattern is calculated, not measured: it uses a crystal structure in the Materials Project, relaxed with PBE and λ = 1.5418 Å (Cu Kα).

Most intense lines, 2θ = 5–70°, by angle:
d [Å]	intensity
4.167	35
3.845	43
3.664	99
2.826	81
2.406	100
2.183	60
2.040	49
1.832	23
1.617	24
1.443	23

Cell and atoms:
a b c (Å): 4.812 4.812 7.691
angles (deg): 90.00 90.00 120.00
Positions (direct):
Ca  0.000  0.000  0.000
Ca  0.000  0.000  0.500
Zn  0.333  0.667  0.313
Zn  0.667  0.333  0.813
Pb  0.333  0.667  0.718
Pb  0.667  0.333  0.218

***

Diffraction record for Cs11Tl6Cl29. The powder X-ray diffraction pattern is calculated, not measured: it uses a crystal structure in the Materials Project, relaxed with PBE and λ = 1.5418 Å (Cu Kα).

Most intense lines, 2θ = 5–70°, by angle:
d [Å]	intensity
7.268	25
4.107	100
4.079	28
4.055	34
3.923	47
3.871	69
2.800	56
2.655	24
2.278	29
1.906	24

Cell and atoms:
a b c (Å): 22.145 22.145 9.648
angles (deg): 91.11 91.11 20.14
Positions (direct):
Cs  0.000  0.000  0.000
Cs  0.096  0.096  0.332
Cs  0.219  0.219  0.809
Cs  0.319  0.319  0.547
Cs  0.354  0.354  0.015
Cs  0.452  0.452  0.336
Cs  0.548  0.548  0.664
Cs  0.646  0.646  0.985
Cs  0.681  0.681  0.453
Cs  0.781  0.781  0.191
Cs  0.904  0.904  0.668
Tl  0.104  0.104  0.807
Tl  0.228  0.228  0.305
Tl  0.448  0.448  0.828
Tl  0.552  0.552  0.172
Tl  0.772  0.772  0.695
Tl  0.896  0.896  0.193
Cl  0.000  0.500  0.500
Cl  0.043  0.535  0.852
Cl  0.052  0.052  0.696
Cl  0.134  0.616  0.325
Cl  0.143  0.143  0.001
Cl  0.180  0.180  0.449
Cl  0.188  0.666  0.000
Cl  0.235  0.709  0.681
Cl  0.283  0.283  0.219
Cl  0.291  0.765  0.319
Cl  0.334  0.812  0.000
Cl  0.384  0.866  0.675
Cl  0.395  0.395  0.692
Cl  0.465  0.957  0.148
Cl  0.500  0.000  0.500
Cl  0.500  0.500  0.000
Cl  0.535  0.043  0.852
Cl  0.605  0.605  0.308
Cl  0.616  0.134  0.325
Cl  0.666  0.188  0.000
Cl  0.709  0.235  0.681
Cl  0.717  0.717  0.781
Cl  0.765  0.291  0.319
Cl  0.812  0.334  0.000
Cl  0.820  0.820  0.551
Cl  0.857  0.857  0.999
Cl  0.866  0.384  0.675
Cl  0.948  0.948  0.304
Cl  0.957  0.465  0.148

***

Diffraction record for ErPaOs2. The powder X-ray diffraction pattern is calculated, not measured: it uses a crystal structure in the Materials Project, relaxed with PBE and λ = 1.5418 Å (Cu Kα).

Most intense lines, 2θ = 5–70°, by angle:
d [Å]	intensity
3.958	1
2.424	100
2.067	1
1.714	18
1.399	37

Cell and atoms:
a b c (Å): 4.847 4.847 4.847
angles (deg): 60.00 60.00 60.00
Positions (direct):
Er  0.000  0.000  0.000
Pa  0.500  0.500  0.500
Os  0.250  0.250  0.250
Os  0.750  0.750  0.750

***

Diffraction record for TeS7Cl2. The powder X-ray diffraction pattern is calculated, not measured: it uses a crystal structure in the Materials Project, relaxed with PBE and λ = 1.5418 Å (Cu Kα).

Most intense lines, 2θ = 5–70°, by angle:
d [Å]	intensity
6.098	100
4.947	49
4.239	30
4.007	29
3.723	19
3.606	64
3.219	32
3.049	17
2.849	21
2.753	33

Cell and atoms:
a b c (Å): 9.893 9.205 14.329
angles (deg): 90.00 90.00 90.00
Positions (direct):
Te  0.176  0.250  0.104
Te  0.324  0.750  0.604
Te  0.676  0.250  0.396
Te  0.824  0.750  0.896
S  0.136  0.568  0.315
S  0.136  0.932  0.315
S  0.196  0.535  0.540
S  0.196  0.965  0.540
S  0.221  0.750  0.255
S  0.234  0.522  0.914
S  0.234  0.978  0.914
S  0.266  0.022  0.414
S  0.266  0.478  0.414
S  0.279  0.250  0.755
S  0.304  0.035  0.040
S  0.304  0.465  0.040
S  0.364  0.068  0.815
S  0.364  0.432  0.815
S  0.636  0.568  0.185
S  0.636  0.932  0.185
S  0.696  0.535  0.960
S  0.696  0.965  0.960
S  0.721  0.750  0.245
S  0.734  0.522  0.586
S  0.734  0.978  0.586
S  0.766  0.022  0.086
S  0.766  0.478  0.086
S  0.779  0.250  0.745
S  0.804  0.035  0.460
S  0.804  0.465  0.460
S  0.864  0.068  0.685
S  0.864  0.432  0.685
Cl  0.015  0.250  0.974
Cl  0.118  0.750  0.710
Cl  0.382  0.250  0.210
Cl  0.485  0.750  0.474
Cl  0.515  0.250  0.526
Cl  0.618  0.750  0.790
Cl  0.882  0.250  0.290
Cl  0.985  0.750  0.026

***

Diffraction record for DyGePd. The powder X-ray diffraction pattern is calculated, not measured: it uses a crystal structure in the Materials Project, relaxed with PBE and λ = 1.5418 Å (Cu Kα).

Most intense lines, 2θ = 5–70°, by angle:
d [Å]	intensity
3.821	9
2.669	21
2.578	100
2.391	6
2.228	10
2.206	62
1.676	21
1.568	7
1.400	12
1.369	11

Cell and atoms:
a b c (Å): 4.414 13.973 7.636
angles (deg): 90.00 90.00 90.00
Positions (direct):
Dy  0.250  0.001  0.214
Dy  0.250  0.250  0.296
Dy  0.250  0.499  0.214
Dy  0.250  0.750  0.289
Dy  0.750  0.250  0.711
Dy  0.750  0.501  0.786
Dy  0.750  0.750  0.704
Dy  0.750  0.999  0.786
Ge  0.250  0.107  0.591
Ge  0.250  0.393  0.591
Ge  0.250  0.652  0.910
Ge  0.250  0.848  0.910
Ge  0.750  0.152  0.090
Ge  0.750  0.348  0.090
Ge  0.750  0.607  0.409
Ge  0.750  0.893  0.409
Pd  0.250  0.141  0.923
Pd  0.250  0.359  0.923
Pd  0.250  0.596  0.581
Pd  0.250  0.904  0.581
Pd  0.750  0.096  0.419
Pd  0.750  0.404  0.419
Pd  0.750  0.641  0.077
Pd  0.750  0.859  0.077

***

Diffraction record for Tl2Ge2S5. The powder X-ray diffraction pattern is calculated, not measured: it uses a crystal structure in the Materials Project, relaxed with PBE and λ = 1.5418 Å (Cu Kα).

Most intense lines, 2θ = 5–70°, by angle:
d [Å]	intensity
4.645	31
4.333	100
3.872	33
3.851	49
3.756	41
3.542	99
3.152	37
3.094	32
2.952	55
1.822	32

Cell and atoms:
a b c (Å): 10.939 10.939 9.044
angles (deg): 99.51 99.51 90.12
Positions (direct):
Tl  0.063  0.206  0.100
Tl  0.206  0.063  0.600
Tl  0.206  0.452  0.623
Tl  0.452  0.206  0.123
Tl  0.548  0.794  0.877
Tl  0.794  0.548  0.377
Tl  0.794  0.937  0.400
Tl  0.937  0.794  0.900
Ge  0.133  0.730  0.391
Ge  0.266  0.531  0.102
Ge  0.270  0.867  0.109
Ge  0.469  0.734  0.398
Ge  0.531  0.266  0.602
Ge  0.730  0.133  0.891
Ge  0.734  0.469  0.898
Ge  0.867  0.270  0.609
S  0.009  0.246  0.469
S  0.113  0.542  0.244
S  0.114  0.886  0.250
S  0.244  0.680  0.953
S  0.245  0.350  0.956
S  0.246  0.009  0.969
S  0.320  0.756  0.547
S  0.350  0.245  0.456
S  0.455  0.545  0.250
S  0.458  0.887  0.256
S  0.542  0.113  0.744
S  0.545  0.455  0.750
S  0.650  0.755  0.544
S  0.680  0.244  0.453
S  0.754  0.991  0.031
S  0.755  0.650  0.044
S  0.756  0.320  0.047
S  0.886  0.114  0.750
S  0.887  0.458  0.756
S  0.991  0.754  0.531